(1)
For HgWN2, a cell relaxed with GGA-PBE gives the theoretical X-ray powder pattern in this record (Cu Ka).

a b c (Å): 8.632 8.632 8.632
angles (deg): 90.00 90.00 90.00
Space group Fd-3m (No. 227, origin choice 2)
Symmetry-distinct sites (fractional):
Hg1 0.125 0.125 0.125 x8
W1 0.125 0.125 0.625 x8
N1 0.000 0.000 0.500 x16

The 8 most intense peaks (10 to 90 degrees two-theta), in order of rising 2θ:
2theta	intensity	hkl
29.26	100.0	2 2 0
34.46	0.7	3 1 1
41.86	16.9	4 0 0
51.89	41.7	4 2 2
60.69	14.5	4 4 0
68.78	18.1	6 2 0
76.45	4.1	4 4 4
83.88	21.8	6 4 2

=====

(2)
For Zr3Hg2N, a cell relaxed with GGA-PBE gives the theoretical X-ray powder pattern in this record (Cu Ka).

```
data_Zr3Hg2N
_chemical_formula_sum 'Zr12 Hg8 N4'
_space_group_name_H-M_alt 'P 41 3 2'
_space_group_IT_number 213
_space_group_name_Hall 'P 4bd 2ab 3'
_cell_length_a 7.586
_cell_length_b 7.586
_cell_length_c 7.586
_cell_angle_alpha 90.00
_cell_angle_beta 90.00
_cell_angle_gamma 90.00
loop_
_atom_site_label
_atom_site_fract_x
_atom_site_fract_y
_atom_site_fract_z
Zr1 0.041 0.125 0.791
Hg1 0.065 0.935 0.435
N1 0.125 0.375 0.625
```

The 12 most intense peaks (10 to 90 degrees two-theta), in order of rising 2θ:
2theta	intensity	hkl
16.53	18.4	1 1 0
20.28	17.3	1 1 1
35.50	100.0	2 2 1
37.49	54.1	3 1 0
39.39	25.7	3 1 1
44.70	25.5	3 2 1
49.54	13.1	4 1 0
62.42	34.2	4 3 1
63.75	8.2	5 1 1
66.36	30.0	5 2 0
75.14	13.2	4 4 2
85.95	7.1	6 3 0